1.
Diffraction record for Ca3Be2P4H10O20. The powder X-ray diffraction pattern is theoretical, not measured: it uses DFT lattice parameters and positions (PBE) and Cu Kα X-rays.
Lines closer than 0.1° are merged.

Cell and atoms:
a b c (Å): 7.106 7.380 7.796
angles (deg): 102.38 94.41 96.34
Sites, in units of the cell vectors:
Ca: 0.000 0.000 0.000
Ca: 0.023 0.290 0.606
Ca: 0.977 0.710 0.394
Be: 0.484 0.732 0.418
Be: 0.516 0.268 0.582
P: 0.272 0.355 0.302
P: 0.318 0.958 0.698
P: 0.682 0.042 0.302
P: 0.728 0.645 0.698
H: 0.171 0.647 0.038
H: 0.279 0.363 0.950
H: 0.283 0.814 0.178
H: 0.366 0.487 0.825
H: 0.493 0.152 0.124
H: 0.507 0.848 0.876
H: 0.634 0.513 0.175
H: 0.717 0.186 0.822
H: 0.721 0.637 0.050
H: 0.829 0.353 0.962
O: 0.073 0.413 0.331
O: 0.118 0.015 0.714
O: 0.151 0.758 0.129
O: 0.246 0.450 0.874
O: 0.271 0.210 0.124
O: 0.307 0.805 0.525
O: 0.321 0.262 0.459
O: 0.368 0.868 0.860
O: 0.424 0.521 0.298
O: 0.474 0.124 0.712
O: 0.526 0.876 0.288
O: 0.576 0.479 0.702
O: 0.632 0.132 0.140
O: 0.679 0.738 0.541
O: 0.693 0.195 0.475
O: 0.729 0.790 0.876
O: 0.754 0.550 0.126
O: 0.849 0.242 0.871
O: 0.882 0.985 0.286
O: 0.927 0.587 0.669

Most intense lines, 10° ≤ 2θ ≤ 90°, low angle first:
d_spacing, intensity
7.573, 57
3.659, 100
3.367, 35
3.327, 49
3.281, 50
3.040, 55
2.323, 38
2.210, 29

***

2.
Diffraction record for CaHfBe. The powder X-ray diffraction pattern is theoretical, not measured: it uses DFT lattice parameters and positions (PBE) and Cu Kα X-rays.
Lines closer than 0.1° are merged.

Cell and atoms:
a b c (Å): 4.625 4.625 4.625
angles (deg): 60.00 60.00 60.00
Sites, in units of the cell vectors:
Ca: 0.000 0.000 0.000
Hf: 0.500 0.500 0.500
Be: 0.250 0.250 0.250

Most intense lines, 10° ≤ 2θ ≤ 90°, low angle first:
d_spacing, intensity
3.776, 74
3.270, 100
2.312, 87
1.972, 40
1.888, 28
1.500, 17
1.462, 36
1.335, 30

***

3.
Diffraction record for Ca2LaBeO5. The powder X-ray diffraction pattern is theoretical, not measured: it uses DFT lattice parameters and positions (PBE) and Cu Kα X-rays.
Lines closer than 0.1° are merged.

Cell and atoms:
a b c (Å): 9.459 7.290 6.521
angles (deg): 90.00 90.00 90.00
Sites, in units of the cell vectors:
Ca: 0.173 0.029 0.079
Ca: 0.173 0.471 0.079
Ca: 0.327 0.529 0.579
Ca: 0.327 0.971 0.579
Ca: 0.673 0.029 0.421
Ca: 0.673 0.471 0.421
Ca: 0.827 0.529 0.921
Ca: 0.827 0.971 0.921
La: 0.027 0.250 0.600
La: 0.473 0.750 0.100
La: 0.527 0.250 0.900
La: 0.973 0.750 0.400
Be: 0.107 0.750 0.812
Be: 0.393 0.250 0.312
Be: 0.607 0.750 0.688
Be: 0.893 0.250 0.188
O: 0.013 0.750 0.023
O: 0.073 0.562 0.689
O: 0.073 0.938 0.689
O: 0.223 0.250 0.361
O: 0.230 0.750 0.332
O: 0.270 0.250 0.832
O: 0.277 0.750 0.861
O: 0.427 0.062 0.189
O: 0.427 0.438 0.189
O: 0.487 0.250 0.523
O: 0.513 0.750 0.477
O: 0.573 0.562 0.811
O: 0.573 0.938 0.811
O: 0.723 0.250 0.139
O: 0.730 0.750 0.168
O: 0.770 0.250 0.668
O: 0.777 0.750 0.639
O: 0.927 0.062 0.311
O: 0.927 0.438 0.311
O: 0.987 0.250 0.977

Most intense lines, 10° ≤ 2θ ≤ 90°, low angle first:
d_spacing, intensity
5.369, 42
4.730, 25
3.390, 31
3.016, 61
2.887, 41
2.839, 100
2.163, 33
1.907, 45

***

4.
Diffraction record for CaNd2BeO5. The powder X-ray diffraction pattern is theoretical, not measured: it uses DFT lattice parameters and positions (PBE) and Cu Kα X-rays.
Lines closer than 0.1° are merged.

Cell and atoms:
a b c (Å): 9.522 6.531 7.211
angles (deg): 90.00 90.00 90.00
Sites, in units of the cell vectors:
Ca: 0.176 0.078 0.000
Ca: 0.324 0.578 0.500
Ca: 0.676 0.422 0.000
Ca: 0.824 0.922 0.500
Nd: 0.024 0.598 0.766
Nd: 0.172 0.073 0.548
Nd: 0.328 0.573 0.048
Nd: 0.476 0.098 0.266
Nd: 0.524 0.902 0.766
Nd: 0.672 0.427 0.548
Nd: 0.828 0.927 0.048
Nd: 0.976 0.402 0.266
Be: 0.103 0.807 0.269
Be: 0.397 0.307 0.769
Be: 0.603 0.693 0.269
Be: 0.897 0.193 0.769
O: 0.011 0.019 0.271
O: 0.071 0.688 0.078
O: 0.073 0.693 0.463
O: 0.223 0.360 0.771
O: 0.226 0.333 0.269
O: 0.274 0.833 0.769
O: 0.277 0.860 0.271
O: 0.427 0.193 0.963
O: 0.429 0.188 0.578
O: 0.489 0.519 0.771
O: 0.511 0.481 0.271
O: 0.571 0.812 0.078
O: 0.573 0.807 0.463
O: 0.723 0.140 0.771
O: 0.726 0.167 0.269
O: 0.774 0.667 0.769
O: 0.777 0.640 0.271
O: 0.927 0.307 0.963
O: 0.929 0.312 0.578
O: 0.989 0.981 0.771

Most intense lines, 10° ≤ 2θ ≤ 90°, low angle first:
d_spacing, intensity
4.315, 55
3.973, 35
2.996, 100
2.874, 71
2.855, 100
2.839, 64
2.346, 40
2.237, 35

***

5.
Diffraction record for CaBeO3. The powder X-ray diffraction pattern is theoretical, not measured: it uses DFT lattice parameters and positions (PBE) and Cu Kα X-rays.
Lines closer than 0.1° are merged.

Cell and atoms:
a b c (Å): 3.615 3.615 3.615
angles (deg): 90.00 90.00 90.00
Sites, in units of the cell vectors:
Ca: 0.000 0.000 0.000
Be: 0.500 0.500 0.500
O: 0.000 0.500 0.500
O: 0.500 0.000 0.500
O: 0.500 0.500 0.000

Most intense lines, 10° ≤ 2θ ≤ 90°, low angle first:
d_spacing, intensity
3.615, 17
2.556, 41
2.087, 100
1.807, 57
1.617, 8
1.476, 15
1.278, 29
1.143, 7

***

What is the formula in the fourth record? CaNd2BeO5